[1]
Y2HfO4: theoretical PXRD pattern (λ = 1.5418 Å (Cu Kα)), based on a DFT-relaxed cell (PBE, OQMD).

Atomic structure:
Cell lengths 9.390, 9.390, 9.390 Å; angles 90.00, 90.00, 90.00 degrees
Space group Fd-3m (No. 227, origin choice 2)
Asymmetric unit:
Y (0.000, 0.000, 0.000) x16
Hf (0.125, 0.125, 0.625) x8
O (0.003, 0.003, 0.747) x32

Most intense lines, 2θ from 5° to 70°, most intense first:
- 31.6°, rel. 100, (3 1 1)
- 26.9°, rel. 50, (2 2 0)
- 55.3°, rel. 37, (4 4 0)
- 50.5°, rel. 35, (3 3 3)
- 47.4°, rel. 22, (4 2 2)
- 65.1°, rel. 12, (5 3 3)
- 62.6°, rel. 9, (6 2 0)
- 33.0°, rel. 8, (2 2 2)
- 66.0°, rel. 4, (6 2 2)
- 16.4°, rel. 4, (1 1 1)

=====

[2]
HfZn2O4: theoretical PXRD pattern (λ = 1.5418 Å (Cu Kα)), based on a DFT-relaxed cell (PBE, OQMD).

Atomic structure:
Cell lengths 8.684, 8.684, 8.684 Å; angles 90.00, 90.00, 90.00 degrees
Space group Fd-3m (No. 227, origin choice 2)
Asymmetric unit:
Hf (0.125, 0.125, 0.125) x8
Zn (0.000, 0.000, 0.500) x16
O (0.006, 0.006, 0.744) x32

Most intense lines, 2θ from 5° to 70°, most intense first:
- 34.2°, rel. 100, (3 1 1)
- 29.1°, rel. 62, (2 2 0)
- 54.9°, rel. 36, (5 1 1)
- 60.3°, rel. 35, (4 4 0)
- 51.6°, rel. 26, (4 2 2)
- 68.3°, rel. 11, (6 2 0)
- 17.7°, rel. 10, (1 1 1)
- 35.8°, rel. 5, (2 2 2)
- 45.5°, rel. 4, (3 3 1)
- 63.4°, rel. 3, (5 3 1)

=====

[3]
HfOs: theoretical PXRD pattern (λ = 1.5418 Å (Cu Kα)), based on a DFT-relaxed cell (PBE, OQMD).

Atomic structure:
```
data_HfOs
_symmetry_space_group_name_H-M 'P m -3 m'
_symmetry_Int_Tables_number 221
_symmetry_space_group_name_Hall '-P 4 2 3'
_cell_length_a 3.250
_cell_length_b 3.250
_cell_length_c 3.250
_cell_angle_alpha 90.00
_cell_angle_beta 90.00
_cell_angle_gamma 90.00
loop_
_atom_site_label
_atom_site_fract_x
_atom_site_fract_y
_atom_site_fract_z
_atom_site_occupancy
Hf1 0.000 0.000 0.000 1
Os1 0.500 0.500 0.500 1
```

Most intense lines, 2θ from 5° to 70°, most intense first:
- 39.2°, rel. 100, (1 1 0)
- 56.6°, rel. 17, (2 0 0)